Simulated powder XRD pattern
Compound: LiMnVP2H2O10
Radiation: Cu Kα X-rays
Structure: a DFT-relaxed cell (PBE+U, the Materials Project)
Intensities are scaled so that the largest is 1000.

Peak list (8 most intense, 2θ from 15° to 90°, by angle)
| 2θ/deg | intensity |
| --- | --- |
| 17.89 | 471 |
| 18.18 | 471 |
| 18.89 | 577 |
| 24.95 | 390 |
| 26.11 | 681 |
| 27.30 | 1000 |
| 29.75 | 747 |
| 35.72 | 401 |

Atomic structure:
Unit cell a=7.3519 b=8.1184 c=10.1121 alpha=111.23 beta=103.40 gamma=94.72
Space group P1 (No. 1)
Asymmetric unit:
Li: 0.0000 0.0000 0.0000
Li: 0.0224 0.5322 0.3256
Li: 0.6679 0.3353 0.6674
Mn: 0.0136 0.7679 0.1638
Mn: 0.3465 0.4343 0.4965
Mn: 0.6717 0.0988 0.8286
V: 0.1842 0.6001 0.8287
V: 0.5105 0.2656 0.1627
V: 0.8434 0.9318 0.4959
P: 0.0976 0.3567 0.0223
P: 0.2549 0.8429 0.6367
P: 0.4333 0.0238 0.3558
P: 0.5945 0.5106 0.9705
P: 0.7697 0.6898 0.6880
P: 0.9244 0.1765 0.3038
H: 0.1065 0.3217 0.5917
H: 0.2681 0.8685 0.0725
H: 0.4353 0.9891 0.9255
H: 0.5849 0.5434 0.4004
H: 0.7562 0.6638 0.2527
H: 0.9304 0.2021 0.7407
O: 0.0974 0.9544 0.6035
O: 0.1073 0.3916 0.8816
O: 0.1152 0.3030 0.3393
O: 0.1210 0.5279 0.1573
O: 0.1426 0.7900 0.0130
O: 0.2154 0.4238 0.6455
O: 0.2205 0.6663 0.5045
O: 0.2380 0.9099 0.3216
O: 0.2441 0.8113 0.7802
O: 0.2480 0.2380 0.0539
O: 0.4352 0.6209 0.9382
O: 0.4450 0.0556 0.2125
O: 0.4505 0.9553 0.6698
O: 0.4678 0.2000 0.4884
O: 0.4756 0.4413 0.3466
O: 0.5446 0.0907 0.9786
O: 0.5711 0.3399 0.8349
O: 0.5767 0.5689 0.6564
O: 0.5792 0.4733 0.1104
O: 0.5904 0.9119 0.3892
O: 0.7739 0.2950 0.2720
O: 0.7740 0.7182 0.5432
O: 0.7879 0.6299 0.0083
O: 0.8051 0.1234 0.6800
O: 0.8045 0.8675 0.8188
O: 0.8815 0.7422 0.3126
O: 0.9012 0.0050 0.1690
O: 0.9068 0.2290 0.9852
O: 0.9154 0.1428 0.4449
O: 0.9180 0.5702 0.7208